Computed X-ray powder pattern of PmPa5 for Cu Kα (weighted mean of Kα1 and Kα2), from a crystal structure in Alexandria, relaxed with GGA-PBE.
No peak broadening, texture or thermal motion is included.

Unit cell a=7.4724 b=7.4724 c=4.6986 alpha=90.00 beta=90.00 gamma=143.57
Element x y z (fractional)
Pm: 0.0000 0.0000 0.0000
Pa: 0.1679 0.8321 0.5000
Pa: 0.3306 0.6694 0.0000
Pa: 0.5000 0.5000 0.5000
Pa: 0.6694 0.3306 0.0000
Pa: 0.8321 0.1679 0.5000

The 10 most intense peaks (5° ≤ 2θ ≤ 70°), in order of falling intensity:
two_theta, d (Å), I/Imax
33.01, 2.714, 100
38.03, 2.366, 17
38.31, 2.349, 17
38.54, 2.336, 17
65.55, 1.424, 14
65.93, 1.417, 14
66.24, 1.411, 14
69.24, 1.357, 12
55.09, 1.667, 12
55.26, 1.662, 12

=====

Computed X-ray powder pattern of PaAg2HgSe4 for Cu Kα (weighted mean of Kα1 and Kα2), from a crystal structure in Alexandria, relaxed with GGA-PBE.
No peak broadening, texture or thermal motion is included.

Unit cell a=6.3875 b=6.3875 c=6.3875 alpha=113.23 beta=109.43 gamma=105.83
Element x y z (fractional)
Pa: 0.0000 0.0000 0.0000
Ag: 0.1863 0.6863 0.5000
Ag: 0.8137 0.3137 0.5000
Hg: 0.5000 0.5000 0.0000
Se: 0.0840 0.0719 0.4807
Se: 0.4087 0.9281 0.0120
Se: 0.5913 0.6033 0.5193
Se: 0.9160 0.3967 0.9880

The 10 most intense peaks (5° ≤ 2θ ≤ 70°), in order of falling intensity:
two_theta, d (Å), I/Imax
29.07, 3.071, 100
35.27, 2.545, 67
45.63, 1.988, 29
47.04, 1.932, 26
17.42, 5.090, 15
33.64, 2.664, 14
50.68, 1.801, 13
59.54, 1.553, 13
49.40, 1.845, 13
34.55, 2.596, 13

=====

Computed X-ray powder pattern of LiTaTe4 for Cu Kα (weighted mean of Kα1 and Kα2), from a crystal structure in Alexandria, relaxed with GGA-PBE.
No peak broadening, texture or thermal motion is included.

Unit cell a=6.3537 b=7.0932 c=8.9304 alpha=112.06 beta=109.32 gamma=93.47
Element x y z (fractional)
Li: 0.0382 0.2879 0.0754
Li: 0.9618 0.7121 0.9246
Ta: 0.2990 0.0488 0.5975
Ta: 0.7010 0.9512 0.4025
Te: 0.0267 0.1870 0.3684
Te: 0.2707 0.4077 0.8819
Te: 0.3422 0.6809 0.3688
Te: 0.3887 0.0258 0.1182
Te: 0.6113 0.9742 0.8818
Te: 0.6578 0.3191 0.6312
Te: 0.7293 0.5923 0.1181
Te: 0.9733 0.8130 0.6316

The 10 most intense peaks (5° ≤ 2θ ≤ 70°), in order of falling intensity:
two_theta, d (Å), I/Imax
29.70, 3.008, 100
13.78, 6.425, 64
32.16, 2.783, 51
48.23, 1.887, 31
33.25, 2.695, 29
30.44, 2.936, 27
11.57, 7.648, 22
46.50, 1.953, 22
25.16, 3.540, 21
46.96, 1.935, 19

=====

Computed X-ray powder pattern of LiCdAg2Br6 for Cu Kα (weighted mean of Kα1 and Kα2), from a crystal structure in Alexandria, relaxed with GGA-PBE.
No peak broadening, texture or thermal motion is included.

Unit cell a=7.0113 b=7.0121 c=7.5724 alpha=62.67 beta=62.43 gamma=60.01
Element x y z (fractional)
Li: 0.0000 0.0000 0.0000
Cd: 0.5072 0.5069 0.4813
Ag: 0.1948 0.1955 0.4164
Ag: 0.6958 0.6967 0.9135
Br: 0.1004 0.4172 0.6917
Br: 0.2918 0.9204 0.1902
Br: 0.4153 0.7926 0.6933
Br: 0.5992 0.2920 0.1906
Br: 0.7920 0.1017 0.6922
Br: 0.9194 0.6001 0.1901

The 10 most intense peaks (5° ≤ 2θ ≤ 70°), in order of falling intensity:
two_theta, d (Å), I/Imax
29.00, 3.079, 100
37.99, 2.368, 79
44.77, 2.024, 78
17.27, 5.134, 54
29.09, 3.070, 50
38.13, 2.360, 39
23.60, 3.770, 33
15.30, 5.791, 21
34.91, 2.570, 17
54.22, 1.692, 15

=====

Computed X-ray powder pattern of MnCdHN for Cu Kα (weighted mean of Kα1 and Kα2), from a crystal structure in Alexandria, relaxed with GGA-PBE.
No peak broadening, texture or thermal motion is included.

Unit cell a=2.8587 b=2.8587 c=7.2273 alpha=100.48 beta=100.48 gamma=60.33
Element x y z (fractional)
Mn: 0.0000 0.0000 0.0000
Cd: 0.5144 0.5144 0.5246
H: 0.3748 0.3748 0.1414
N: 0.6267 0.6267 0.8757

The 10 most intense peaks (5° ≤ 2θ ≤ 70°), in order of falling intensity:
two_theta, d (Å), I/Imax
37.24, 2.414, 100
25.21, 3.533, 89
39.95, 2.257, 45
12.53, 7.066, 40
50.60, 1.804, 29
40.56, 2.224, 22
56.85, 1.620, 18
50.02, 1.824, 15
65.29, 1.429, 13
36.38, 2.470, 12